Structure and simulated powder diffraction line list of Nd2SmAg2 (the PBE geometry in Alexandria; Cu Kα X-rays).
Peak positions follow from Bragg's law for the DFT cell and can differ from measured ones.

Atomic structure:
```
Nd2SmAg2
1.0
1.873 -13.809 0.000
1.873 13.809 0.000
0.000 0.000 5.400
Nd Sm Ag
4 2 4
Direct
0.047 0.953 0.750
0.234 0.766 0.750
0.766 0.234 0.250
0.953 0.047 0.250
0.145 0.855 0.250
0.855 0.145 0.750
0.359 0.641 0.250
0.451 0.549 0.750
0.549 0.451 0.250
0.641 0.359 0.750
```

Top 10 peaks for 2θ = 15–90°, by intensity:
2θ = 33.3°, I = 1000; 2θ = 33.2°, I = 272; 2θ = 32.4°, I = 216; 2θ = 59.4°, I = 185; 2θ = 47.1°, I = 151; 2θ = 58.4°, I = 108; 2θ = 60.1°, I = 96; 2θ = 48.6°, I = 92; 2θ = 70.0°, I = 90; 2θ = 80.9°, I = 76